Structure and computed powder XRD pattern of LiNbNiPd (a structure optimized by DFT (PBE); Cu Kα, 1.54184 Å).

Structure:
```
data_LiNbNiPd
_symmetry_space_group_name_H-M 'P 1'
_symmetry_Int_Tables_number 1
_cell_length_a 4.3409
_cell_length_b 4.3409
_cell_length_c 4.3409
_cell_angle_alpha 60.00
_cell_angle_beta 60.00
_cell_angle_gamma 60.00
loop_
_symmetry_equiv_pos_as_xyz
'x,y,z'
loop_
_atom_site_label
_atom_site_fract_x
_atom_site_fract_y
_atom_site_fract_z
_atom_site_occupancy
Li1 0.0000 0.0000 0.0000 1
Nb1 0.5000 0.5000 0.5000 1
Ni1 0.7500 0.7500 0.7500 1
Pd1 0.2500 0.2500 0.2500 1
```

Largest 6 diffraction maxima, sorted by position, 5° ≤ 2θ ≤ 70°:
Position (°2θ), intensity
25.1, 35.0
29.1, 9.5
41.6, 100.0
49.2, 16.3
60.3, 16.1
66.4, 6.6